The following is a calculated PXRD pattern of Ce3Bi4Au3. It was derived from the PBE geometry in the Materials Project, using Cu Kα (λ = 1.5418 Å).
Lines closer than 0.1° are merged.

Top 10 peaks for 2θ = 15–90°, sorted by position:
2θ (°)	Rel. int.
21.0	17
27.3	9
32.4	100
39.0	29
42.8	16
44.7	19
48.2	13
56.3	10
60.8	11
62.2	9

Structural model:
Cell lengths 8.955, 8.955, 8.955 Å; angles 109.47, 109.47, 109.47 degrees
Fractional positions:
1 Ce 0.125 0.875 0.250
2 Ce 0.250 0.125 0.875
3 Ce 0.375 0.625 0.750
4 Ce 0.625 0.750 0.375
5 Ce 0.750 0.375 0.625
6 Ce 0.875 0.250 0.125
7 Bi 0.000 0.181 0.500
8 Bi 0.000 0.681 0.500
9 Bi 0.181 0.500 0.000
10 Bi 0.319 0.319 0.319
11 Bi 0.500 0.000 0.181
12 Bi 0.500 0.000 0.681
13 Bi 0.681 0.500 0.000
14 Bi 0.819 0.819 0.819
15 Au 0.125 0.750 0.875
16 Au 0.250 0.625 0.375
17 Au 0.375 0.250 0.625
18 Au 0.625 0.375 0.250
19 Au 0.750 0.875 0.125
20 Au 0.875 0.125 0.750

The following is a calculated PXRD pattern of Pr3Ge2Ru2. It was derived from the PBE geometry in the Materials Project, using Cu Kα (λ = 1.5418 Å).
Lines closer than 0.1° are merged.

Top 10 peaks for 2θ = 15–90°, sorted by position:
2θ (°)	Rel. int.
29.5	30
32.2	46
32.8	54
33.4	66
34.3	46
36.9	68
38.4	100
39.3	37
47.8	23
55.0	23

Structural model:
Cell lengths 5.808, 8.060, 13.755 Å; angles 90.00, 90.00, 90.00 degrees
Fractional positions:
1 Pr 0.132 0.247 0.250
2 Pr 0.132 0.253 0.750
3 Pr 0.353 0.603 0.098
4 Pr 0.353 0.603 0.402
5 Pr 0.353 0.897 0.598
6 Pr 0.353 0.897 0.902
7 Pr 0.647 0.103 0.098
8 Pr 0.647 0.103 0.402
9 Pr 0.647 0.397 0.598
10 Pr 0.647 0.397 0.902
11 Pr 0.868 0.747 0.250
12 Pr 0.868 0.753 0.750
13 Ge 0.115 0.250 0.000
14 Ge 0.115 0.250 0.500
15 Ge 0.357 0.603 0.750
16 Ge 0.357 0.897 0.250
17 Ge 0.643 0.103 0.750
18 Ge 0.643 0.397 0.250
19 Ge 0.885 0.750 0.000
20 Ge 0.885 0.750 0.500
21 Ru 0.143 0.531 0.590
22 Ru 0.143 0.531 0.910
23 Ru 0.143 0.969 0.090
24 Ru 0.143 0.969 0.410
25 Ru 0.857 0.031 0.590
26 Ru 0.857 0.031 0.910
27 Ru 0.857 0.469 0.090
28 Ru 0.857 0.469 0.410